# 1
Theoretical powder diffraction line list of Mg14ZrSn for a wavelength of 1.5418 Å, from DFT lattice parameters and positions (PBE).
Intensities are scaled so that the largest is 100.

The 10 most intense peaks (2θ from 15° to 90°), low angle first:
two_theta  I/Imax
15.94  42.8
23.67  30.7
32.21  29.1
35.17  24.6
36.83  100.0
48.43  18.3
57.43  17.2
64.19  18.9
69.16  19.3
70.20  14.2

Crystal structure
```
Mg14ZrSn
1.0
6.418 0.000 0.000
-3.209 5.558 0.000
0.000 0.000 10.206
Mg Zr Sn
14 1 1
Cartesian
0.000 0.000 2.483 Mg
0.000 0.000 7.723 Mg
-1.567 2.801 2.541 Mg
-1.567 2.801 7.665 Mg
1.585 0.915 5.103 Mg
1.642 0.948 0.000 Mg
1.567 2.801 2.541 Mg
1.567 2.801 7.665 Mg
0.000 5.515 2.541 Mg
0.000 5.515 7.665 Mg
4.776 0.948 0.000 Mg
3.209 3.662 0.000 Mg
4.833 0.915 5.103 Mg
3.209 3.728 5.103 Mg
0.000 3.706 0.000 Zr
0.000 3.706 5.103 Sn
```

=====

# 2
Theoretical powder diffraction line list of LiTiSiO4 for a wavelength of 1.5418 Å, from DFT lattice parameters and positions (PBE).
Intensities are scaled so that the largest is 100.

The 10 most intense peaks (2θ from 15° to 90°), low angle first:
two_theta  I/Imax
17.12  39.8
20.42  64.6
22.81  29.2
25.40  83.9
30.19  60.7
35.45  100.0
36.72  29.3
39.79  27.8
41.57  25.5
52.19  38.9

Crystal structure
```
LiTiSiO4
1.0
4.792 0.000 0.000
0.000 5.922 0.000
0.000 0.000 10.359
Li Ti Si O
4 4 4 16
Cartesian
0.001 1.476 2.584 Li
4.791 4.437 2.595 Li
2.397 1.484 7.775 Li
2.395 4.445 7.764 Li
0.013 0.001 5.437 Ti
2.383 5.921 0.258 Ti
2.409 2.960 4.922 Ti
4.779 2.961 10.102 Ti
0.270 2.961 6.791 Si
2.126 2.960 1.612 Si
2.666 5.921 3.568 Si
4.523 0.001 8.748 Si
0.912 2.961 8.298 O
0.996 1.695 5.968 O
0.997 4.228 5.969 O
1.047 5.921 3.618 O
1.349 0.001 8.798 O
1.399 1.694 0.790 O
1.400 4.226 0.789 O
1.484 2.960 3.118 O
3.308 5.921 2.062 O
3.392 1.266 4.391 O
3.393 4.655 4.390 O
3.443 2.962 6.741 O
3.745 2.960 1.562 O
3.795 1.267 9.570 O
3.796 4.656 9.571 O
3.880 0.001 7.241 O
```

=====

# 3
Theoretical powder diffraction line list of Ca2Th2Pt3 for a wavelength of 1.5418 Å, from DFT lattice parameters and positions (PBE).
Intensities are scaled so that the largest is 100.

The 10 most intense peaks (2θ from 15° to 90°), low angle first:
two_theta  I/Imax
24.90  28.7
27.29  45.4
30.03  46.2
33.68  69.5
34.73  100.0
35.21  38.9
36.45  49.0
36.93  39.3
42.58  48.4
46.43  26.3

Crystal structure
```
Ca2Th2Pt3
1.0
7.988 -2.123 0.000
7.988 2.123 0.000
-7.457 0.000 10.688
Ca Th Pt
4 4 6
Cartesian
-1.441 0.000 3.635 Ca
4.010 0.000 3.694 Ca
4.509 0.000 6.994 Ca
9.960 0.000 7.053 Ca
-0.749 0.000 7.497 Th
5.863 0.000 0.367 Th
2.656 0.000 10.320 Th
9.268 0.000 3.191 Th
0.485 0.000 1.285 Pt
-3.682 0.000 8.974 Pt
1.433 0.000 5.175 Pt
7.086 0.000 5.513 Pt
12.201 0.000 1.714 Pt
8.034 0.000 9.403 Pt
```

=====

# 4
Theoretical powder diffraction line list of LaAsH2Ir for a wavelength of 1.5418 Å, from DFT lattice parameters and positions (PBE).
Intensities are scaled so that the largest is 100.

The 10 most intense peaks (2θ from 15° to 90°), low angle first:
two_theta  I/Imax
17.21  52.1
24.45  97.3
26.02  37.9
26.66  32.4
33.12  74.5
34.84  100.0
38.09  65.4
41.05  44.9
43.59  73.9
54.91  54.3

Crystal structure
```
LaAsH2Ir
1.0
3.535 -2.199 0.000
3.535 2.199 0.000
-2.216 0.000 5.152
La As H Ir
1 1 2 1
Cartesian
0.000 0.000 0.000 La
2.454 0.000 2.728 As
4.699 0.000 0.309 H
5.469 0.000 2.623 H
-0.005 0.000 2.970 Ir
```